No. 1
For Tb3Pm, a cell relaxed with PBE gives the theoretical X-ray diffraction stick pattern in this record (copper Kα).

Structure:
```
data_Tb3Pm
_chemical_formula_sum 'Tb6 Pm2'
_symmetry_space_group_name_H-M 'I 4/m m m'
_symmetry_Int_Tables_number 139
_symmetry_space_group_name_Hall '-I 4 2'
_cell_length_a 5.064
_cell_length_b 5.064
_cell_length_c 10.145
_cell_angle_alpha 90.00
_cell_angle_beta 90.00
_cell_angle_gamma 90.00
loop_
_atom_site_label
_atom_site_fract_x
_atom_site_fract_y
_atom_site_fract_z
Tb1 0.000 0.000 0.000
Tb2 0.000 0.500 0.250
Pm1 0.000 0.000 0.500
```

Principal peaks in the range 10 to 90 degrees two-theta, by angle:
d = 2.925 Å, I 100, (1 1 2); d = 2.533 Å, I 51, (2 0 0); d = 1.791 Å, I 36, (2 2 0); d = 1.528 Å, I 43, (3 1 2); d = 1.463 Å, I 12, (2 2 4); d = 1.162 Å, I 18, (3 3 2)

***

No. 2
For Zn4Hg, a cell relaxed with PBE gives the theoretical X-ray diffraction stick pattern in this record (copper Kα).

Structure:
```
data_Zn4Hg
_chemical_formula_sum 'Zn12 Hg3'
_symmetry_space_group_name_H-M 'R -3 m'
_symmetry_Int_Tables_number 166
_symmetry_space_group_name_Hall '-R 3 2"'
_cell_length_a 3.0704
_cell_length_b 3.0704
_cell_length_c 32.1181
_cell_angle_alpha 90.00
_cell_angle_beta 90.00
_cell_angle_gamma 120.00
loop_
_atom_site_label
_atom_site_fract_x
_atom_site_fract_y
_atom_site_fract_z
Zn1 0.0000 0.0000 0.0932
Zn2 0.0000 0.0000 0.3022
Hg1 0.0000 0.0000 0.5000
```

Principal peaks in the range 10 to 90 degrees two-theta, by angle:
d = 5.353 Å, I 14, (0 0 6); d = 2.457 Å, I 100, (0 1 5); d = 2.141 Å, I 20, (0 0 15); d = 2.048 Å, I 56, (1 0 10); d = 1.535 Å, I 23, (1 1 0); d = 1.248 Å, I 20, (1 1 15)

***

No. 3
For K2InCl3, a cell relaxed with PBE gives the theoretical X-ray diffraction stick pattern in this record (copper Kα).

Structure:
```
data_K2InCl3
_chemical_formula_sum 'K8 In4 Cl12'
_symmetry_space_group_name_H-M 'C m c 21'
_symmetry_Int_Tables_number 36
_symmetry_space_group_name_Hall 'C 2c -2'
_cell_length_a 15.753
_cell_length_b 9.645
_cell_length_c 6.327
_cell_angle_alpha 90.00
_cell_angle_beta 90.00
_cell_angle_gamma 90.00
loop_
_atom_site_label
_atom_site_fract_x
_atom_site_fract_y
_atom_site_fract_z
K1 0.167 0.162 0.000
In1 0.000 0.336 0.500
Cl1 0.000 0.327 0.993
Cl2 0.166 0.162 0.500
```

Principal peaks in the range 10 to 90 degrees two-theta, by angle:
d = 4.822 Å, I 45, (0 2 0); d = 4.612 Å, I 97, (3 1 0); d = 3.163 Å, I 69, (0 0 2); d = 2.742 Å, I 100, (3 3 0); d = 2.609 Å, I 42, (3 1 2); d = 2.072 Å, I 79, (3 3 2)